For Li4Nb3V3Sn2O16, a structure optimized by DFT (GGA+U) gives the simulated powder X-ray diffraction pattern in this record (CuKα).
Lines closer than 0.1° are merged.

Top 10 peaks for 2θ from 10° to 90°, low angle first:
| 2theta | Rel. int. |
| --- | --- |
| 17.51 | 399 |
| 18.84 | 474 |
| 19.05 | 1000 |
| 19.14 | 447 |
| 24.42 | 363 |
| 31.59 | 502 |
| 34.27 | 535 |
| 34.51 | 369 |
| 35.46 | 765 |
| 60.89 | 356 |

Structure:
Cell lengths 6.087, 6.087, 10.132 Å; angles 90.49, 90.49, 59.21 degrees
Fractional coordinates of all 28 atoms:
Li  0.000  0.000  0.000
Li  0.002  0.002  0.502
Li  0.337  0.337  0.915
Li  0.667  0.667  0.403
Nb  0.172  0.172  0.229
Nb  0.368  0.821  0.724
Nb  0.821  0.368  0.724
V  0.182  0.652  0.223
V  0.652  0.182  0.223
V  0.831  0.831  0.726
Sn  0.342  0.342  0.501
Sn  0.678  0.678  0.007
O  0.005  0.005  0.318
O  0.005  0.005  0.818
O  0.036  0.478  0.351
O  0.175  0.175  0.612
O  0.177  0.682  0.611
O  0.324  0.324  0.110
O  0.335  0.845  0.113
O  0.478  0.036  0.351
O  0.483  0.483  0.356
O  0.513  0.971  0.856
O  0.520  0.520  0.866
O  0.677  0.677  0.593
O  0.682  0.177  0.611
O  0.845  0.335  0.113
O  0.847  0.847  0.107
O  0.971  0.513  0.856